Entry 1:
This entry pairs a crystal structure of Ho3Tm6Pu with its computed X-ray powder pattern. Radiation: Cu Kα. Structure: a GGA-PBE-relaxed structure.
No peak broadening, texture or thermal motion is included.

Structure:
abc: 6.6191 6.7366 6.7428
angles: 95.27 90.12 90.23
Element x y z (fractional)
Ho 0.0000 0.0000 0.0000
Ho 0.1989 0.3814 0.2227
Ho 0.3994 0.6035 0.6032
Tm 0.1994 0.0557 0.5470
Tm 0.4452 0.8131 0.1104
Tm 0.5308 0.2840 0.9166
Tm 0.6991 0.2198 0.3831
Tm 0.8666 0.6870 0.3190
Tm 0.9534 0.4923 0.7897
Pu 0.6998 0.9128 0.6911

Principal peaks in the range 15° ≤ 2θ ≤ 90°, low angle first:
- 2θ 29.83, d 2.995, rel. 258
- 2θ 30.10, d 2.969, rel. 317
- 2θ 30.16, d 2.963, rel. 139
- 2θ 30.87, d 2.897, rel. 399
- 2θ 31.72, d 2.821, rel. 1000
- 2θ 33.43, d 2.681, rel. 293
- 2θ 33.58, d 2.669, rel. 234
- 2θ 42.63, d 2.121, rel. 155
- 2θ 43.67, d 2.073, rel. 134
- 2θ 59.27, d 1.559, rel. 115



Entry 2:
This entry pairs a crystal structure of Be3P2H4O10 with its computed X-ray powder pattern. Radiation: Cu Kα. Structure: a GGA-PBE-relaxed structure.
No peak broadening, texture or thermal motion is included.

Structure:
abc: 8.4239 8.4239 9.6364
angles: 94.74 94.74 31.90
Element x y z (fractional)
Be 0.1829 0.8171 0.7500
Be 0.2051 0.2909 0.1578
Be 0.2909 0.2051 0.6578
Be 0.7091 0.7949 0.3422
Be 0.7949 0.7091 0.8422
Be 0.8171 0.1829 0.2500
P 0.1166 0.1945 0.3945
P 0.1945 0.1166 0.8945
P 0.8055 0.8834 0.1055
P 0.8834 0.8055 0.6055
H 0.2283 0.5890 0.9042
H 0.3427 0.5287 0.3146
H 0.4110 0.7717 0.5958
H 0.4713 0.6573 0.1854
H 0.5287 0.3427 0.8146
H 0.5890 0.2283 0.4042
H 0.6573 0.4713 0.6854
H 0.7717 0.4110 0.0958
O 0.0435 0.0903 0.8330
O 0.0844 0.2516 0.0439
O 0.0903 0.0435 0.3330
O 0.0954 0.3401 0.8002
O 0.1834 0.4627 0.6087
O 0.2516 0.0844 0.5439
O 0.3401 0.0954 0.3002
O 0.3622 0.5465 0.8552
O 0.4535 0.6378 0.6448
O 0.4627 0.1834 0.1087
O 0.5373 0.8166 0.8913
O 0.5465 0.3622 0.3552
O 0.6378 0.4535 0.1448
O 0.6599 0.9046 0.6998
O 0.7484 0.9156 0.4561
O 0.8166 0.5373 0.3913
O 0.9046 0.6599 0.1998
O 0.9097 0.9565 0.6670
O 0.9156 0.7484 0.9561
O 0.9565 0.9097 0.1670

Principal peaks in the range 15° ≤ 2θ ≤ 90°, low angle first:
- 2θ 19.95, d 4.450, rel. 517
- 2θ 20.70, d 4.291, rel. 996
- 2θ 22.35, d 3.978, rel. 258
- 2θ 25.38, d 3.509, rel. 1000
- 2θ 30.13, d 2.966, rel. 739
- 2θ 30.71, d 2.912, rel. 658
- 2θ 36.91, d 2.436, rel. 293
- 2θ 37.47, d 2.400, rel. 249
- 2θ 38.91, d 2.315, rel. 250
- 2θ 49.39, d 1.845, rel. 250



Entry 3:
This entry pairs a crystal structure of UPa2Tl3Te6 with its computed X-ray powder pattern. Radiation: Cu Kα. Structure: a GGA-PBE-relaxed structure.
No peak broadening, texture or thermal motion is included.

Structure:
abc: 7.4560 7.4560 8.9364
angles: 97.99 97.99 120.00
Element x y z (fractional)
U 0.0000 0.0000 0.0000
Pa 0.3330 0.6670 0.0000
Pa 0.6670 0.3330 0.0000
Tl 0.1651 0.8349 0.5000
Tl 0.5000 0.5000 0.5000
Tl 0.8349 0.1651 0.5000
Te 0.0735 0.4087 0.2203
Te 0.2622 0.2622 0.7804
Te 0.4087 0.0735 0.2203
Te 0.5913 0.9265 0.7797
Te 0.7378 0.7378 0.2196
Te 0.9265 0.5913 0.7797

Principal peaks in the range 15° ≤ 2θ ≤ 90°, low angle first:
- 2θ 24.86, d 3.581, rel. 90
- 2θ 27.65, d 3.226, rel. 1000
- 2θ 36.89, d 2.436, rel. 439
- 2θ 41.98, d 2.152, rel. 337
- 2θ 42.11, d 2.146, rel. 90
- 2θ 51.01, d 1.790, rel. 188
- 2θ 57.10, d 1.613, rel. 126
- 2θ 60.97, d 1.520, rel. 184
- 2θ 68.12, d 1.376, rel. 159
- 2θ 73.34, d 1.291, rel. 121



Entry 4:
This entry pairs a crystal structure of Pa3Sn4Pt3 with its computed X-ray powder pattern. Radiation: Cu Kα. Structure: a GGA-PBE-relaxed structure.
No peak broadening, texture or thermal motion is included.

Structure:
abc: 8.4391 8.4391 8.4391
angles: 109.47 109.47 109.47
Element x y z (fractional)
Pa 0.1250 0.8750 0.2500
Pa 0.2500 0.1250 0.8750
Pa 0.3750 0.6250 0.7500
Pa 0.6250 0.7500 0.3750
Pa 0.7500 0.3750 0.6250
Pa 0.8750 0.2500 0.1250
Sn 0.0000 0.1809 0.5000
Sn 0.0000 0.6809 0.5000
Sn 0.1809 0.5000 0.0000
Sn 0.3191 0.3191 0.3191
Sn 0.5000 0.0000 0.1809
Sn 0.5000 0.0000 0.6809
Sn 0.6809 0.5000 0.0000
Sn 0.8191 0.8191 0.8191
Pt 0.1250 0.7500 0.8750
Pt 0.2500 0.6250 0.3750
Pt 0.3750 0.2500 0.6250
Pt 0.6250 0.3750 0.2500
Pt 0.7500 0.8750 0.1250
Pt 0.8750 0.1250 0.7500

Principal peaks in the range 15° ≤ 2θ ≤ 90°, low angle first:
- 2θ 22.35, d 3.978, rel. 185
- 2θ 25.86, d 3.445, rel. 145
- 2θ 34.44, d 2.604, rel. 1000
- 2θ 41.44, d 2.179, rel. 541
- 2θ 45.61, d 1.989, rel. 133
- 2θ 51.36, d 1.779, rel. 192
- 2θ 64.90, d 1.437, rel. 116
- 2θ 66.47, d 1.407, rel. 129
- 2θ 69.57, d 1.351, rel. 120
- 2θ 71.09, d 1.326, rel. 116



Entry 5:
This entry pairs a crystal structure of Rb3CeAg2Cl9 with its computed X-ray powder pattern. Radiation: Cu Kα. Structure: a GGA-PBE-relaxed structure.
No peak broadening, texture or thermal motion is included.

Structure:
abc: 7.5722 7.5722 9.5145
angles: 90.00 90.00 120.00
Element x y z (fractional)
Rb 0.0000 0.0000 0.0000
Rb 0.3333 0.6667 0.7316
Rb 0.6667 0.3333 0.2684
Ce 0.0000 0.0000 0.5000
Ag 0.3333 0.6667 0.1548
Ag 0.6667 0.3333 0.8452
Cl 0.0000 0.5000 0.0000
Cl 0.1641 0.3282 0.3364
Cl 0.1641 0.8359 0.3364
Cl 0.3282 0.1641 0.6636
Cl 0.5000 0.0000 0.0000
Cl 0.5000 0.5000 0.0000
Cl 0.6718 0.8359 0.3364
Cl 0.8359 0.1641 0.6636
Cl 0.8359 0.6718 0.6636

Principal peaks in the range 15° ≤ 2θ ≤ 90°, low angle first:
- 2θ 16.42, d 5.399, rel. 453
- 2θ 23.10, d 3.851, rel. 702
- 2θ 23.50, d 3.786, rel. 786
- 2θ 33.18, d 2.700, rel. 1000
- 2θ 36.97, d 2.431, rel. 187
- 2θ 41.06, d 2.198, rel. 320
- 2θ 41.30, d 2.186, rel. 181
- 2θ 47.21, d 1.925, rel. 242
- 2θ 48.06, d 1.893, rel. 365
- 2θ 59.65, d 1.550, rel. 166



Entry 6:
This entry pairs a crystal structure of Tm4Ge8Rh with its computed X-ray powder pattern. Radiation: Cu Kα. Structure: a GGA-PBE-relaxed structure.
No peak broadening, texture or thermal motion is included.

Structure:
abc: 3.9916 4.0871 16.0672
angles: 90.00 90.00 90.00
Element x y z (fractional)
Tm 0.0000 0.0000 0.0000
Tm 0.0000 0.5000 0.4859
Tm 0.5000 0.0000 0.7888
Tm 0.5000 0.5000 0.2841
Ge 0.0000 0.0000 0.3286
Ge 0.0000 0.0000 0.6194
Ge 0.0000 0.5000 0.1397
Ge 0.0000 0.5000 0.8560
Ge 0.5000 0.0000 0.1446
Ge 0.5000 0.0000 0.4352
Ge 0.5000 0.5000 0.6183
Ge 0.5000 0.5000 0.9581
Rh 0.0000 0.5000 0.7058

Principal peaks in the range 15° ≤ 2θ ≤ 90°, low angle first:
- 2θ 24.91, d 3.575, rel. 124
- 2θ 33.46, d 2.678, rel. 109
- 2θ 35.61, d 2.521, rel. 1000
- 2θ 40.57, d 2.224, rel. 129
- 2θ 44.33, d 2.044, rel. 166
- 2θ 45.44, d 1.996, rel. 155
- 2θ 58.98, d 1.566, rel. 83
- 2θ 65.36, d 1.428, rel. 104
- 2θ 75.89, d 1.254, rel. 110
- 2θ 77.53, d 1.231, rel. 85



Entry 7:
This entry pairs a crystal structure of DyPuSc2P4 with its computed X-ray powder pattern. Radiation: Cu Kα. Structure: a GGA-PBE-relaxed structure.
No peak broadening, texture or thermal motion is included.

Structure:
abc: 6.6841 3.8913 6.7219
angles: 90.00 109.58 90.00
Element x y z (fractional)
Dy 0.0000 0.0000 0.0000
Pu 0.0000 0.5000 0.5000
Sc 0.5000 0.0000 0.5000
Sc 0.5000 0.5000 0.0000
P 0.2625 0.0000 0.7518
P 0.2638 0.5000 0.2569
P 0.7362 0.5000 0.7431
P 0.7375 0.0000 0.2482

Principal peaks in the range 15° ≤ 2θ ≤ 90°, low angle first:
- 2θ 26.91, d 3.313, rel. 428
- 2θ 28.15, d 3.170, rel. 509
- 2θ 28.34, d 3.149, rel. 168
- 2θ 32.67, d 2.741, rel. 1000
- 2θ 35.71, d 2.514, rel. 154
- 2θ 46.75, d 1.943, rel. 361
- 2θ 47.00, d 1.933, rel. 352
- 2θ 55.59, d 1.653, rel. 135
- 2θ 58.16, d 1.586, rel. 124
- 2θ 78.13, d 1.223, rel. 155



Entry 8:
This entry pairs a crystal structure of RbCuCl4 with its computed X-ray powder pattern. Radiation: Cu Kα. Structure: a GGA-PBE-relaxed structure.
No peak broadening, texture or thermal motion is included.

Structure:
abc: 9.6424 9.9286 3.8337
angles: 90.00 90.00 90.00
Element x y z (fractional)
Rb 0.0000 0.0000 0.0000
Rb 0.5000 0.5000 0.0000
Cu 0.0000 0.5000 0.5000
Cu 0.5000 0.0000 0.5000
Cl 0.0000 0.3402 0.0000
Cl 0.0000 0.6598 0.0000
Cl 0.2355 0.5000 0.5000
Cl 0.2645 0.0000 0.5000
Cl 0.5000 0.1598 0.0000
Cl 0.5000 0.8402 0.0000
Cl 0.7355 0.0000 0.5000
Cl 0.7645 0.5000 0.5000

Principal peaks in the range 15° ≤ 2θ ≤ 90°, low angle first:
- 2θ 17.87, d 4.964, rel. 1000
- 2θ 18.40, d 4.821, rel. 573
- 2θ 26.58, d 3.353, rel. 575
- 2θ 29.77, d 3.001, rel. 373
- 2θ 37.08, d 2.425, rel. 841
- 2θ 37.30, d 2.411, rel. 327
- 2θ 41.65, d 2.168, rel. 204
- 2θ 45.93, d 1.976, rel. 349
- 2θ 47.43, d 1.917, rel. 160
- 2θ 60.59, d 1.528, rel. 229



Copy entry 8 word for word.
This entry pairs a crystal structure of RbCuCl4 with its computed X-ray powder pattern. Radiation: Cu Kα. Structure: a GGA-PBE-relaxed structure.
No peak broadening, texture or thermal motion is included.

Structure:
abc: 9.6424 9.9286 3.8337
angles: 90.00 90.00 90.00
Element x y z (fractional)
Rb 0.0000 0.0000 0.0000
Rb 0.5000 0.5000 0.0000
Cu 0.0000 0.5000 0.5000
Cu 0.5000 0.0000 0.5000
Cl 0.0000 0.3402 0.0000
Cl 0.0000 0.6598 0.0000
Cl 0.2355 0.5000 0.5000
Cl 0.2645 0.0000 0.5000
Cl 0.5000 0.1598 0.0000
Cl 0.5000 0.8402 0.0000
Cl 0.7355 0.0000 0.5000
Cl 0.7645 0.5000 0.5000

Principal peaks in the range 15° ≤ 2θ ≤ 90°, low angle first:
- 2θ 17.87, d 4.964, rel. 1000
- 2θ 18.40, d 4.821, rel. 573
- 2θ 26.58, d 3.353, rel. 575
- 2θ 29.77, d 3.001, rel. 373
- 2θ 37.08, d 2.425, rel. 841
- 2θ 37.30, d 2.411, rel. 327
- 2θ 41.65, d 2.168, rel. 204
- 2θ 45.93, d 1.976, rel. 349
- 2θ 47.43, d 1.917, rel. 160
- 2θ 60.59, d 1.528, rel. 229